[1]
Diffraction record for NaZn2InO4. The powder X-ray diffraction pattern is calculated, not measured: it uses a crystal structure in Alexandria, relaxed with GGA-PBE and Cu Kα X-rays.

Peak list (8 most intense, 10° ≤ 2θ ≤ 80°, by angle)
(1 0 1), d = 4.334 Å, I = 335; (1 1 2), d = 2.790 Å, I = 1000; (2 0 0), d = 2.434 Å, I = 193; (0 0 4), d = 2.381 Å, I = 93; (2 2 0), d = 1.721 Å, I = 154; (2 0 4), d = 1.702 Å, I = 292; (3 1 2), d = 1.465 Å, I = 253; (1 1 6), d = 1.442 Å, I = 119

Structural model:
Lattice parameters (Å, degrees): 4.867 4.867 9.525 90.00 90.00 90.00
Space group I-42m (No. 121)
Inequivalent atoms, fractional coordinates:
Na (0.000, 0.000, 0.000) [2 per cell]
Zn (0.000, 0.500, 0.250) [4 per cell]
In (0.000, 0.000, 0.500) [2 per cell]
O (0.234, 0.234, 0.361) [8 per cell]

***

[2]
Diffraction record for Na5InP2. The powder X-ray diffraction pattern is calculated, not measured: it uses a crystal structure in Alexandria, relaxed with GGA-PBE and Cu Kα X-rays.

Peak list (8 most intense, 10° ≤ 2θ ≤ 80°, by angle)
(1 0 0), d = 4.424 Å, I = 286; (1 0 1), d = 4.298 Å, I = 882; (1 0 3), d = 3.571 Å, I = 235; (1 0 4), d = 3.168 Å, I = 357; (1 1 0), d = 2.554 Å, I = 1000; (1 0 6), d = 2.497 Å, I = 307; (1 0 7), d = 2.237 Å, I = 400; (1 1 6), d = 1.952 Å, I = 291

Structural model:
Lattice parameters (Å, degrees): 5.1080 5.1080 18.1544 90.00 90.00 120.00
Space group P6_3/mmc (No. 194)
Inequivalent atoms, fractional coordinates:
Na (0.0000, 0.0000, 0.1381) [4 per cell]
Na (0.3333, 0.6667, 0.0526) [4 per cell]
Na (0.3333, 0.6667, 0.2500) [2 per cell]
In (0.3333, 0.6667, 0.7500) [2 per cell]
P (0.3333, 0.6667, 0.6085) [4 per cell]

***

[3]
Diffraction record for Na2PaIn3Te6. The powder X-ray diffraction pattern is calculated, not measured: it uses a crystal structure in Alexandria, relaxed with GGA-PBE and Cu Kα X-rays.

Peak list (8 most intense, 10° ≤ 2θ ≤ 80°, by angle)
(1 1 0), d = 6.437 Å, I = 120; (2 0 -2), d = 3.201 Å, I = 1000; (1 3 -3), d = 2.286 Å, I = 261; (2 0 2), d = 2.275 Å, I = 130; (0 6 0), d = 2.252 Å, I = 119; (3 3 -1), d = 2.242 Å, I = 239; (2 6 -2), d = 1.842 Å, I = 128; (4 0 -4), d = 1.601 Å, I = 123

Structural model:
Lattice parameters (Å, degrees): 7.754 13.512 7.961 90.00 109.22 90.00
Space group C2/m (No. 12)
Inequivalent atoms, fractional coordinates:
Na (0.000, 0.168, 0.000) [4 per cell]
Pa (0.000, 0.500, 0.000) [2 per cell]
In (0.000, 0.000, 0.500) [2 per cell]
In (0.000, 0.338, 0.500) [4 per cell]
Te (0.232, 0.500, 0.758) [4 per cell]
Te (0.238, 0.345, 0.244) [8 per cell]

***

[4]
Diffraction record for NaIn2Pb5. The powder X-ray diffraction pattern is calculated, not measured: it uses a crystal structure in Alexandria, relaxed with GGA-PBE and Cu Kα X-rays.

Peak list (8 most intense, 10° ≤ 2θ ≤ 80°, by angle)
(1 0 0), d = 5.487 Å, I = 103; (0 0 2), d = 2.802 Å, I = 529; (2 0 0), d = 2.743 Å, I = 1000; (2 -2 2), d = 1.985 Å, I = 100; (-2 2 2), d = 1.977 Å, I = 98; (2 0 2), d = 1.608 Å, I = 204; (0 2 2), d = 1.605 Å, I = 203; (2 2 0), d = 1.573 Å, I = 190

Structural model:
Lattice parameters (Å, degrees): 6.771 6.771 6.771 108.53 108.21 111.67
Space group P1 (No. 1)
Inequivalent atoms, fractional coordinates:
Na (0.000, 0.000, 0.000) [1 per cell]
In (0.001, 0.498, 0.500) [1 per cell]
In (0.501, 0.998, 0.500) [1 per cell]
Pb (0.000, 0.997, 0.499) [1 per cell]
Pb (0.499, 0.498, 0.000) [1 per cell]
Pb (0.499, 0.998, 0.000) [1 per cell]
Pb (0.501, 0.498, 0.501) [1 per cell]
Pb (0.999, 0.500, 0.000) [1 per cell]

***

[5]
Diffraction record for NaIn5Pb2. The powder X-ray diffraction pattern is calculated, not measured: it uses a crystal structure in Alexandria, relaxed with GGA-PBE and Cu Kα X-rays.

Peak list (8 most intense, 10° ≤ 2θ ≤ 80°, by angle)
(2 0 1), d = 2.771 Å, I = 1000; (2 4 0), d = 2.511 Å, I = 380; (0 0 2), d = 2.216 Å, I = 133; (0 8 0), d = 1.777 Å, I = 66; (4 0 0), d = 1.773 Å, I = 66; (2 4 2), d = 1.661 Å, I = 214; (4 4 1), d = 1.495 Å, I = 298; (2 0 3), d = 1.364 Å, I = 111

Structural model:
Lattice parameters (Å, degrees): 7.093 14.218 4.431 90.00 90.00 90.00
Space group Pbam (No. 55)
Inequivalent atoms, fractional coordinates:
Na (0.000, 0.000, 0.000) [2 per cell]
In (0.000, 0.500, 0.000) [2 per cell]
In (0.005, 0.248, 0.000) [4 per cell]
In (0.244, 0.628, 0.500) [4 per cell]
Pb (0.246, 0.373, 0.500) [4 per cell]

***

[6]
Diffraction record for Na2In2Pb3. The powder X-ray diffraction pattern is calculated, not measured: it uses a crystal structure in Alexandria, relaxed with GGA-PBE and Cu Kα X-rays.

Peak list (8 most intense, 10° ≤ 2θ ≤ 80°, by angle)
(0 0 1), d = 7.501 Å, I = 218; (1 1 2), d = 2.810 Å, I = 1000; (3 1 -1), d = 2.795 Å, I = 990; (0 2 0), d = 2.461 Å, I = 357; (4 0 1), d = 2.449 Å, I = 349; (2 0 -3), d = 2.374 Å, I = 296; (4 2 1), d = 1.736 Å, I = 248; (3 3 -1), d = 1.477 Å, I = 283

Structural model:
Lattice parameters (Å, degrees): 10.851 4.922 7.550 90.00 96.54 90.00
Space group C2/m (No. 12)
Inequivalent atoms, fractional coordinates:
Na (0.079, 0.000, 0.218) [4 per cell]
In (0.137, 0.500, 0.930) [4 per cell]
Pb (0.000, 0.500, 0.500) [2 per cell]
Pb (0.211, 0.000, 0.663) [4 per cell]

***

[7]
Diffraction record for Na2In3Pb. The powder X-ray diffraction pattern is calculated, not measured: it uses a crystal structure in Alexandria, relaxed with GGA-PBE and Cu Kα X-rays.

Peak list (8 most intense, 10° ≤ 2θ ≤ 80°, by angle)
(1 1 1), d = 4.644 Å, I = 851; (2 0 -2), d = 3.331 Å, I = 621; (1 1 -3), d = 2.723 Å, I = 308; (2 2 -2), d = 2.703 Å, I = 299; (2 0 2), d = 2.691 Å, I = 806; (1 3 1), d = 2.677 Å, I = 1000; (1 3 -3), d = 2.093 Å, I = 347; (4 0 0), d = 2.079 Å, I = 500

Structural model:
Lattice parameters (Å, degrees): 8.506 9.256 8.620 90.00 102.14 90.00
Space group C2/c (No. 15)
Inequivalent atoms, fractional coordinates:
Na (0.126, 0.246, 0.125) [8 per cell]
In (0.000, 0.426, 0.750) [4 per cell]
In (0.241, 0.414, 0.503) [8 per cell]
Pb (0.000, 0.085, 0.750) [4 per cell]

***

[8]
Diffraction record for NaInPb. The powder X-ray diffraction pattern is calculated, not measured: it uses a crystal structure in Alexandria, relaxed with GGA-PBE and Cu Kα X-rays.

Peak list (8 most intense, 10° ≤ 2θ ≤ 80°, by angle)
(1 0 0), d = 4.719 Å, I = 596; (1 0 1), d = 3.846 Å, I = 217; (0 0 2), d = 3.317 Å, I = 408; (1 1 0), d = 2.725 Å, I = 1000; (1 0 2), d = 2.714 Å, I = 568; (1 1 2), d = 2.105 Å, I = 711; (3 0 0), d = 1.572 Å, I = 404; (1 1 4), d = 1.417 Å, I = 267

Structural model:
Lattice parameters (Å, degrees): 5.4494 5.4494 6.6344 90.00 90.00 120.00
Space group P6_3/mmc (No. 194)
Inequivalent atoms, fractional coordinates:
Na (0.0000, 0.0000, 0.0000) [2 per cell]
In (0.3333, 0.6667, 0.2500) [2 per cell]
Pb (0.3333, 0.6667, 0.7500) [2 per cell]